Starting from a structure optimized by DFT (PBE+U), the powder diffraction line list of CsCrH8N2O8 was simulated for a wavelength of 1.5418 Å.
Peak positions follow from Bragg's law for the DFT cell and can differ from measured ones.

Cell and atoms:
```
data_CsCrH8N2O8
_cell_length_a 7.016
_cell_length_b 7.016
_cell_length_c 8.929
_cell_angle_alpha 90.00
_cell_angle_beta 90.00
_cell_angle_gamma 90.00
_symmetry_space_group_name_H-M 'I -4 2 m'
_symmetry_Int_Tables_number 121
_symmetry_space_group_name_Hall 'I -4 2'
loop_
_atom_site_label
_atom_site_type_symbol
_atom_site_fract_x
_atom_site_fract_y
_atom_site_fract_z
Cs1 Cs 0.000 0.000 0.000
Cr1 Cr 0.000 0.000 0.500
H1 H 0.029 0.379 0.314
N1 N 0.000 0.500 0.250
O1 O 0.139 0.139 0.349
O2 O 0.197 0.197 0.499
```

Most intense lines, 5 to 70 degrees two-theta, sorted by position:
Position (°2θ), I (rel.), index
17.9, 87, 1 1 0
19.9, 39, 0 0 2
25.4, 27, 2 0 0
26.9, 100, 1 1 2
30.2, 35, 2 1 1
36.2, 29, 2 2 0
39.8, 18, 3 0 1
41.7, 25, 2 2 2
45.7, 38, 3 1 2
59.6, 15, 3 3 2